# 1
# CeDyCd14
Simulated powder X-ray diffraction pattern, CuKα. Input: DFT lattice parameters and positions (GGA-PBE).
Peak positions follow from Bragg's law for the DFT cell and can differ from measured ones.

Structure:
```
data_CeDyCd14
_cell_length_a 6.665
_cell_length_b 6.665
_cell_length_c 8.431
_cell_angle_alpha 90.00
_cell_angle_beta 90.00
_cell_angle_gamma 90.00
_space_group_name_H-M_alt 'P 4/m m m'
_space_group_IT_number 123
_space_group_name_Hall '-P 4 2'
loop_
_atom_site_label
_atom_site_fract_x
_atom_site_fract_y
_atom_site_fract_z
Ce1 0.000 0.000 0.000
Dy1 0.500 0.500 0.000
Cd1 0.000 0.000 0.500
Cd2 0.000 0.500 0.000
Cd3 0.000 0.500 0.500
Cd4 0.253 0.253 0.261
Cd5 0.500 0.500 0.500
```

Most intense lines, 15 to 90 degrees two-theta, most intense first:
34.30°, d = 2.614 Å, intensity 100, (2 0 2)
38.19°, d = 2.356 Å, intensity 37, (2 2 0)
66.55°, d = 1.405 Å, intensity 27, (4 2 2)
58.78°, d = 1.571 Å, intensity 20, (2 2 4)
42.91°, d = 2.108 Å, intensity 13, (0 0 4)
55.12°, d = 1.666 Å, intensity 12, (4 0 0)
72.29°, d = 1.307 Å, intensity 10, (4 0 4)
73.09°, d = 1.295 Å, intensity 10, (2 0 6)
81.74°, d = 1.178 Å, intensity 4, (4 4 0)
28.81°, d = 3.099 Å, intensity 1, (2 0 1)

***

# 2
# ZrCuSe
Simulated powder X-ray diffraction pattern, CuKα. Input: DFT lattice parameters and positions (GGA-PBE).
Peak positions follow from Bragg's law for the DFT cell and can differ from measured ones.

Structure:
```
data_ZrCuSe
_cell_length_a 3.481
_cell_length_b 3.481
_cell_length_c 9.161
_cell_angle_alpha 90.00
_cell_angle_beta 90.00
_cell_angle_gamma 90.00
_space_group_name_H-M_alt 'P 4/n m m'
_space_group_IT_number 129
loop_
_space_group_symop_operation_xyz
'x,y,z'
'-x,-y,-z'
'-y+1/2,x,z'
'y+1/2,-x,-z'
'-x+1/2,-y+1/2,z'
'x+1/2,y+1/2,-z'
'y,-x+1/2,z'
'-y,x+1/2,-z'
'x+1/2,-y,-z'
'-x+1/2,y,z'
'-y,-x,-z'
'y,x,z'
'-x,y+1/2,-z'
'x,-y+1/2,z'
'y+1/2,x+1/2,-z'
'-y+1/2,-x+1/2,z'
loop_
_atom_site_label
_atom_site_fract_x
_atom_site_fract_y
_atom_site_fract_z
Zr1 0.250 0.250 0.240
Cu1 0.250 0.250 0.946
Se1 0.250 0.250 0.635
```

Most intense lines, 15 to 90 degrees two-theta, most intense first:
39.25°, d = 2.296 Å, intensity 100, (1 0 3)
36.50°, d = 2.461 Å, intensity 93, (1 1 0)
67.54°, d = 1.387 Å, intensity 38, (2 1 3)
52.58°, d = 1.741 Å, intensity 32, (2 0 0)
47.49°, d = 1.914 Å, intensity 28, (1 0 4)
88.91°, d = 1.101 Å, intensity 14, (3 1 0)
29.24°, d = 3.054 Å, intensity 10, (0 0 3)
19.38°, d = 4.581 Å, intensity 10, (0 0 2)
32.30°, d = 2.772 Å, intensity 10, (1 0 2)
77.57°, d = 1.231 Å, intensity 10, (2 2 0)

***

# 3
# Tl3SnSe4
Simulated powder X-ray diffraction pattern, CuKα. Input: DFT lattice parameters and positions (GGA-PBE).
Peak positions follow from Bragg's law for the DFT cell and can differ from measured ones.

Structure:
```
data_Tl3SnSe4
_cell_length_a 8.342
_cell_length_b 8.983
_cell_length_c 15.333
_cell_angle_alpha 90.00
_cell_angle_beta 97.81
_cell_angle_gamma 90.00
_space_group_name_H-M_alt 'P 1 21/c 1'
_space_group_IT_number 14
loop_
_space_group_symop_operation_xyz
'x,y,z'
'-x,-y,-z'
'-x,y+1/2,-z+1/2'
'x,-y+1/2,z+1/2'
loop_
_atom_site_label
_atom_site_fract_x
_atom_site_fract_y
_atom_site_fract_z
Tl1 0.011 0.031 0.120
Tl2 0.268 0.129 0.654
Tl3 0.379 0.681 0.614
Sn1 0.186 0.144 0.372
Se1 0.074 0.723 0.222
Se2 0.101 0.577 0.973
Se3 0.297 0.156 0.981
Se4 0.405 0.069 0.280
```

Most intense lines, 15 to 90 degrees two-theta, most intense first:
29.59°, d = 3.019 Å, intensity 100, (1 2 3)
31.37°, d = 2.852 Å, intensity 98, (2 1 -4)
33.79°, d = 2.653 Å, intensity 61, (3 1 -1)
22.91°, d = 3.881 Å, intensity 43, (1 2 -1)
23.42°, d = 3.798 Å, intensity 36, (0 0 4)
30.55°, d = 2.926 Å, intensity 34, (2 2 1)
27.76°, d = 3.214 Å, intensity 33, (1 2 -3)
34.04°, d = 2.634 Å, intensity 31, (3 1 0)
32.09°, d = 2.789 Å, intensity 29, (1 3 -1)
15.28°, d = 5.800 Å, intensity 25, (0 1 2)

***

# 4
# Pm9Sm11Er4
Simulated powder X-ray diffraction pattern, CuKα. Input: DFT lattice parameters and positions (GGA-PBE).
Peak positions follow from Bragg's law for the DFT cell and can differ from measured ones.

Structure:
```
data_Pm9Sm11Er4
_cell_length_a 20.941
_cell_length_b 21.447
_cell_length_c 3.587
_cell_angle_alpha 90.00
_cell_angle_beta 90.00
_cell_angle_gamma 90.00
_space_group_name_H-M_alt 'C m m m'
_space_group_IT_number 65
_space_group_name_Hall '-C 2 2'
loop_
_atom_site_label
_atom_site_fract_x
_atom_site_fract_y
_atom_site_fract_z
Pm1 0.000 0.000 0.000
Pm2 0.123 0.245 0.000
Pm3 0.123 0.415 0.000
Sm1 0.000 0.154 0.500
Sm2 0.000 0.329 0.500
Sm3 0.000 0.500 0.500
Sm4 0.245 0.500 0.500
Sm5 0.248 0.332 0.500
Er1 0.137 0.084 0.000
```

Most intense lines, 15 to 90 degrees two-theta, most intense first:
30.28°, d = 2.952 Å, intensity 100, (4 6 0)
30.20°, d = 2.959 Å, intensity 88, (4 0 1)
35.45°, d = 2.532 Å, intensity 56, (0 6 1)
50.12°, d = 1.820 Å, intensity 39, (8 6 1)
34.26°, d = 2.618 Å, intensity 35, (8 0 0)
60.38°, d = 1.533 Å, intensity 29, (4 6 2)
58.87°, d = 1.569 Å, intensity 24, (12 6 0)
60.52°, d = 1.530 Å, intensity 22, (4 12 1)
50.91°, d = 1.794 Å, intensity 12, (0 0 2)
62.80°, d = 1.480 Å, intensity 12, (8 0 2)

***

# 5
# Pr3IO7
Simulated powder X-ray diffraction pattern, CuKα. Input: DFT lattice parameters and positions (GGA-PBE).
Peak positions follow from Bragg's law for the DFT cell and can differ from measured ones.

Structure:
```
data_Pr3IO7
_cell_length_a 7.968
_cell_length_b 10.998
_cell_length_c 7.991
_cell_angle_alpha 90.00
_cell_angle_beta 90.00
_cell_angle_gamma 90.00
_space_group_name_H-M_alt 'C m c 21'
_space_group_IT_number 36
loop_
_space_group_symop_operation_xyz
'x,y,z'
'-x,-y,z+1/2'
'-x,y,z'
'x,-y,z+1/2'
'x+1/2,y+1/2,z'
'-x+1/2,-y+1/2,z+1/2'
'-x+1/2,y+1/2,z'
'x+1/2,-y+1/2,z+1/2'
loop_
_atom_site_label
_atom_site_fract_x
_atom_site_fract_y
_atom_site_fract_z
Pr1 0.000 0.013 0.000
Pr2 0.236 0.263 0.248
I1 0.000 0.488 0.498
O1 0.000 0.136 0.275
O2 0.000 0.136 0.724
O3 0.000 0.420 0.278
O4 0.169 0.387 0.963
O5 0.235 0.372 0.514
```

Most intense lines, 15 to 90 degrees two-theta, most intense first:
27.62°, d = 3.229 Å, intensity 100, (2 2 0)
46.10°, d = 1.969 Å, intensity 30, (2 4 2)
54.03°, d = 1.697 Å, intensity 29, (2 2 4)
31.72°, d = 2.821 Å, intensity 24, (2 0 2)
55.14°, d = 1.666 Å, intensity 12, (2 6 0)
32.57°, d = 2.749 Å, intensity 10, (0 4 0)
74.17°, d = 1.279 Å, intensity 10, (2 6 4)
45.40°, d = 1.998 Å, intensity 9, (0 0 4)
45.54°, d = 1.992 Å, intensity 8, (4 0 0)
66.25°, d = 1.411 Å, intensity 5, (4 0 4)

***

# 6
# Ti2Zn3Pd
Simulated powder X-ray diffraction pattern, CuKα. Input: DFT lattice parameters and positions (GGA-PBE).
Peak positions follow from Bragg's law for the DFT cell and can differ from measured ones.

Structure:
```
data_Ti2Zn3Pd
_cell_length_a 3.975
_cell_length_b 12.039
_cell_length_c 7.623
_cell_angle_alpha 90.00
_cell_angle_beta 90.00
_cell_angle_gamma 90.00
_space_group_name_H-M_alt 'C m m m'
_space_group_IT_number 65
_space_group_name_Hall '-C 2 2'
loop_
_atom_site_label
_atom_site_fract_x
_atom_site_fract_y
_atom_site_fract_z
Ti1 0.000 0.000 0.000
Ti2 0.000 0.000 0.500
Ti3 0.000 0.335 0.000
Zn1 0.000 0.170 0.259
Zn2 0.000 0.500 0.252
Pd1 0.000 0.342 0.500
```

Most intense lines, 15 to 90 degrees two-theta, most intense first:
39.72°, d = 2.269 Å, intensity 100, (1 3 2)
45.65°, d = 1.988 Å, intensity 17, (2 0 0)
45.19°, d = 2.007 Å, intensity 17, (0 6 0)
47.72°, d = 1.906 Å, intensity 14, (0 0 4)
80.37°, d = 1.195 Å, intensity 11, (3 3 2)
79.71°, d = 1.203 Å, intensity 11, (1 9 2)
66.18°, d = 1.412 Å, intensity 10, (2 6 0)
83.42°, d = 1.159 Å, intensity 10, (1 3 6)
85.61°, d = 1.135 Å, intensity 10, (2 6 4)
68.17°, d = 1.376 Å, intensity 9, (2 0 4)